(1)
Simulated powder XRD pattern
Compound: ErTmAg2Se4
Radiation: Cu Kα (λ = 1.5418 Å)
Structure: a PBE-relaxed structure
Lines closer than 0.1° are merged.

Structure:
```
data_ErTmAg2Se4
_space_group_name_H-M_alt 'P 1'
_space_group_IT_number 1
_space_group_name_Hall 'P 1'
_cell_length_a 6.923
_cell_length_b 4.130
_cell_length_c 7.150
_cell_angle_alpha 90.00
_cell_angle_beta 109.84
_cell_angle_gamma 90.00
loop_
_atom_site_label
_atom_site_type_symbol
_atom_site_fract_x
_atom_site_fract_y
_atom_site_fract_z
_atom_site_occupancy
Er1 Er 0.000 0.000 0.000 1
Tm1 Tm 0.000 0.500 0.500 1
Ag1 Ag 0.500 0.000 0.500 1
Ag2 Ag 0.500 0.500 0.000 1
Se1 Se 0.242 0.000 0.745 1
Se2 Se 0.242 0.500 0.247 1
Se3 Se 0.758 0.000 0.255 1
Se4 Se 0.758 0.500 0.753 1
```

Principal peaks in the range 2θ = 5–70°, in order of falling intensity:
hkl 1 1 1, d = 2.889 Å, intensity 100
hkl 0 2 0, d = 2.064 Å, intensity 57
hkl 2 0 -2, d = 2.877 Å, intensity 50
hkl 3 1 -1, d = 2.014 Å, intensity 35
hkl 2 2 -2, d = 1.678 Å, intensity 20
hkl 2 0 2, d = 2.021 Å, intensity 18
hkl 0 0 2, d = 3.358 Å, intensity 16
hkl 2 2 2, d = 1.445 Å, intensity 12
hkl 0 0 4, d = 1.681 Å, intensity 10
hkl 4 0 0, d = 1.628 Å, intensity 9

---

(2)
Simulated powder XRD pattern
Compound: Cs2TlSn
Radiation: Cu Kα (λ = 1.5418 Å)
Structure: a PBE-relaxed structure
Lines closer than 0.1° are merged.

Structure:
```
data_Cs2TlSn
_space_group_name_H-M_alt 'P 1'
_space_group_IT_number 1
_space_group_name_Hall 'P 1'
_cell_length_a 12.264
_cell_length_b 9.173
_cell_length_c 6.865
_cell_angle_alpha 90.00
_cell_angle_beta 90.00
_cell_angle_gamma 90.00
loop_
_atom_site_label
_atom_site_type_symbol
_atom_site_fract_x
_atom_site_fract_y
_atom_site_fract_z
_atom_site_occupancy
Cs1 Cs 0.169 0.147 0.250 1
Cs2 Cs 0.169 0.853 0.750 1
Cs3 Cs 0.331 0.353 0.750 1
Cs4 Cs 0.331 0.647 0.250 1
Cs5 Cs 0.669 0.353 0.750 1
Cs6 Cs 0.669 0.647 0.250 1
Cs7 Cs 0.831 0.147 0.250 1
Cs8 Cs 0.831 0.853 0.750 1
Tl1 Tl 0.000 0.500 0.000 1
Tl2 Tl 0.000 0.500 0.500 1
Tl3 Tl 0.500 0.000 0.000 1
Tl4 Tl 0.500 0.000 0.500 1
Sn1 Sn 0.000 0.234 0.750 1
Sn2 Sn 0.000 0.766 0.250 1
Sn3 Sn 0.500 0.266 0.250 1
Sn4 Sn 0.500 0.734 0.750 1
```

Principal peaks in the range 2θ = 5–70°, in order of falling intensity:
hkl 3 1 1, d = 3.280 Å, intensity 100
hkl 3 1 0, d = 3.734 Å, intensity 75
hkl 1 1 2, d = 3.110 Å, intensity 66
hkl 1 3 0, d = 2.967 Å, intensity 44
hkl 0 2 2, d = 2.748 Å, intensity 44
hkl 3 1 3, d = 1.951 Å, intensity 42
hkl 3 3 2, d = 1.993 Å, intensity 38
hkl 2 2 2, d = 2.508 Å, intensity 36
hkl 1 1 0, d = 7.346 Å, intensity 35
hkl 0 2 1, d = 3.814 Å, intensity 35

---

(3)
Simulated powder XRD pattern
Compound: Tb7PrDy2
Radiation: Cu Kα (λ = 1.5418 Å)
Structure: a PBE-relaxed structure
Lines closer than 0.1° are merged.

Structure:
```
data_Tb7PrDy2
_space_group_name_H-M_alt 'P 1'
_space_group_IT_number 1
_space_group_name_Hall 'P 1'
_cell_length_a 6.187
_cell_length_b 6.187
_cell_length_c 9.443
_cell_angle_alpha 102.59
_cell_angle_beta 109.07
_cell_angle_gamma 99.54
loop_
_atom_site_label
_atom_site_type_symbol
_atom_site_fract_x
_atom_site_fract_y
_atom_site_fract_z
_atom_site_occupancy
Tb1 Tb 0.000 0.000 0.000 1
Tb2 Tb 0.201 0.000 0.399 1
Tb3 Tb 0.201 0.501 0.901 1
Tb4 Tb 0.399 0.500 0.298 1
Tb5 Tb 0.601 0.500 0.702 1
Tb6 Tb 0.799 0.000 0.601 1
Tb7 Tb 0.799 0.499 0.099 1
Pr1 Pr 0.000 0.500 0.500 1
Dy1 Dy 0.401 0.002 0.801 1
Dy2 Dy 0.599 0.998 0.199 1
```

Principal peaks in the range 2θ = 5–70°, in order of falling intensity:
hkl 1 0 2, d = 2.916 Å, intensity 100
hkl 2 1 -1, d = 2.526 Å, intensity 51
hkl 3 1 1, d = 1.523 Å, intensity 32
hkl 3 0 -4, d = 1.786 Å, intensity 30
hkl 2 0 4, d = 1.458 Å, intensity 12
hkl 2 0 -6, d = 1.522 Å, intensity 11
hkl 1 2 2, d = 1.787 Å, intensity 6

---

(4)
Simulated powder XRD pattern
Compound: Tb14DyIn
Radiation: Cu Kα (λ = 1.5418 Å)
Structure: a PBE-relaxed structure
Lines closer than 0.1° are merged.

Structure:
```
data_Tb14DyIn
_space_group_name_H-M_alt 'P 1'
_space_group_IT_number 1
_space_group_name_Hall 'P 1'
_cell_length_a 7.057
_cell_length_b 7.057
_cell_length_c 10.020
_cell_angle_alpha 90.00
_cell_angle_beta 90.00
_cell_angle_gamma 90.00
loop_
_atom_site_label
_atom_site_type_symbol
_atom_site_fract_x
_atom_site_fract_y
_atom_site_fract_z
_atom_site_occupancy
Tb1 Tb 0.000 0.000 0.000 1
Tb2 Tb 0.000 0.500 0.000 1
Tb3 Tb 0.000 0.500 0.500 1
Tb4 Tb 0.250 0.250 0.253 1
Tb5 Tb 0.250 0.250 0.747 1
Tb6 Tb 0.250 0.750 0.253 1
Tb7 Tb 0.250 0.750 0.747 1
Tb8 Tb 0.500 0.000 0.000 1
Tb9 Tb 0.500 0.000 0.500 1
Tb10 Tb 0.500 0.500 0.000 1
Tb11 Tb 0.750 0.250 0.253 1
Tb12 Tb 0.750 0.250 0.747 1
Tb13 Tb 0.750 0.750 0.253 1
Tb14 Tb 0.750 0.750 0.747 1
Dy1 Dy 0.000 0.000 0.500 1
In1 In 0.500 0.500 0.500 1
```

Principal peaks in the range 2θ = 5–70°, in order of falling intensity:
hkl 2 0 2, d = 2.885 Å, intensity 100
hkl 2 2 0, d = 2.495 Å, intensity 34
hkl 4 2 2, d = 1.505 Å, intensity 28
hkl 2 2 4, d = 1.768 Å, intensity 24
hkl 0 0 4, d = 2.505 Å, intensity 17
hkl 2 0 6, d = 1.509 Å, intensity 14
hkl 4 0 4, d = 1.442 Å, intensity 12
hkl 4 0 0, d = 1.764 Å, intensity 12

---

Question: Which formula does entry 1 have?
Answer: ErTmAg2Se4

---

What did the third record say?
Simulated powder XRD pattern
Compound: Tb7PrDy2
Radiation: Cu Kα (λ = 1.5418 Å)
Structure: a PBE-relaxed structure
Lines closer than 0.1° are merged.

Structure:
```
data_Tb7PrDy2
_space_group_name_H-M_alt 'P 1'
_space_group_IT_number 1
_space_group_name_Hall 'P 1'
_cell_length_a 6.187
_cell_length_b 6.187
_cell_length_c 9.443
_cell_angle_alpha 102.59
_cell_angle_beta 109.07
_cell_angle_gamma 99.54
loop_
_atom_site_label
_atom_site_type_symbol
_atom_site_fract_x
_atom_site_fract_y
_atom_site_fract_z
_atom_site_occupancy
Tb1 Tb 0.000 0.000 0.000 1
Tb2 Tb 0.201 0.000 0.399 1
Tb3 Tb 0.201 0.501 0.901 1
Tb4 Tb 0.399 0.500 0.298 1
Tb5 Tb 0.601 0.500 0.702 1
Tb6 Tb 0.799 0.000 0.601 1
Tb7 Tb 0.799 0.499 0.099 1
Pr1 Pr 0.000 0.500 0.500 1
Dy1 Dy 0.401 0.002 0.801 1
Dy2 Dy 0.599 0.998 0.199 1
```

Principal peaks in the range 2θ = 5–70°, in order of falling intensity:
hkl 1 0 2, d = 2.916 Å, intensity 100
hkl 2 1 -1, d = 2.526 Å, intensity 51
hkl 3 1 1, d = 1.523 Å, intensity 32
hkl 3 0 -4, d = 1.786 Å, intensity 30
hkl 2 0 4, d = 1.458 Å, intensity 12
hkl 2 0 -6, d = 1.522 Å, intensity 11
hkl 1 2 2, d = 1.787 Å, intensity 6